# FeRh2F8
Calculated X-ray diffraction stick pattern, Cu Kα, 1.54184 Å. Input: a crystal structure in Alexandria, relaxed with GGA+U.
Kinematic intensities with the Lorentz-polarization factor, no thermal factor.

Most intense lines, 2θ from 10° to 80°, sorted by position:
(hkl)	Position (°2θ)	d_spacing	I/Imax
1 0 1	26.27	3.393	1000
1 1 0	27.61	3.231	974
2 0 0	31.98	2.798	131
0 0 2	42.37	2.133	121
0 1 2	45.51	1.993	143
2 1 1	48.01	1.895	466
3 0 0	48.82	1.865	182
1 1 2	51.32	1.780	110
2 0 2	54.06	1.696	201
2 2 0	57.00	1.616	243
3 -2 2	61.76	1.502	180
4 -3 1	63.81	1.459	139

Crystal structure
Unit cell a=6.4621 b=6.4621 c=4.2663 alpha=90.00 beta=90.00 gamma=120.00
Atoms (fractional coordinates):
Fe 0.0000 0.0000 0.0000
Rh 0.3333 0.6667 0.7423
Rh 0.6667 0.3333 0.2577
F 0.1468 0.2959 0.7524
F 0.1490 0.8532 0.7524
F 0.2959 0.1490 0.2476
F 0.3333 0.6667 0.2467
F 0.6667 0.3333 0.7533
F 0.7041 0.8510 0.7524
F 0.8510 0.1468 0.2476
F 0.8532 0.7041 0.2476